Entry 1:
Starting from DFT lattice parameters and positions (PBE+U), the X-ray powder pattern of Na4MgMo2O8 was computed for Cu Kα (λ = 1.5418 Å).
Neutral-atom scattering factors, no anomalous dispersion.

Crystal structure
```
Na4MgMo2O8
1.0
6.496 0.000 0.000
-1.343 6.560 0.000
-2.556 -3.288 5.668
Na Mg Mo O
4 1 2 8
direct
0.000 0.000 0.000
0.069 0.911 0.454
0.514 0.909 0.002
0.902 0.450 0.456
0.219 0.414 0.922
0.469 0.664 0.424
0.701 0.397 0.887
0.295 0.711 0.582
0.336 0.340 0.182
0.361 0.286 0.724
0.361 0.747 0.183
0.771 0.241 0.055
0.799 0.721 0.054
0.799 0.775 0.580
0.880 0.344 0.725
```

Top 8 peaks for 5 to 70 degrees two-theta, by angle:
2θ = 15.6°, rel. 100
2θ = 16.0°, rel. 53
2θ = 23.4°, rel. 37
2θ = 26.5°, rel. 50
2θ = 27.2°, rel. 93
2θ = 29.1°, rel. 36
2θ = 29.7°, rel. 51
2θ = 31.5°, rel. 35

---

Entry 2:
Starting from DFT lattice parameters and positions (PBE+U), the X-ray powder pattern of Na5Mn7O16 was computed for Cu Kα (λ = 1.5418 Å).
Neutral-atom scattering factors, no anomalous dispersion.

Crystal structure
```
Na5Mn7O16
1.0
5.451 -2.951 0.000
5.451 2.951 0.000
-3.166 0.000 10.228
Na Mn O
5 7 16
direct
0.000 0.000 0.000
0.237 0.237 0.063
0.304 0.304 0.416
0.696 0.696 0.584
0.763 0.763 0.937
0.000 0.000 0.500
0.236 0.236 0.738
0.236 0.723 0.736
0.277 0.764 0.264
0.723 0.236 0.736
0.764 0.277 0.264
0.764 0.764 0.262
0.087 0.087 0.838
0.102 0.102 0.381
0.111 0.590 0.824
0.113 0.685 0.371
0.315 0.887 0.629
0.377 0.377 0.635
0.410 0.889 0.176
0.432 0.432 0.169
0.568 0.568 0.831
0.590 0.111 0.824
0.623 0.623 0.365
0.685 0.113 0.371
0.887 0.315 0.629
0.889 0.410 0.176
0.898 0.898 0.619
0.913 0.913 0.162
```

Top 8 peaks for 5 to 70 degrees two-theta, by angle:
2θ = 8.6°, rel. 41
2θ = 17.3°, rel. 100
2θ = 18.2°, rel. 27
2θ = 33.6°, rel. 34
2θ = 34.5°, rel. 27
2θ = 34.9°, rel. 29
2θ = 35.1°, rel. 30
2θ = 41.6°, rel. 87

---

Entry 3:
Starting from DFT lattice parameters and positions (PBE+U), the X-ray powder pattern of KNa7V8O24 was computed for Cu Kα (λ = 1.5418 Å).
Neutral-atom scattering factors, no anomalous dispersion.

Crystal structure
```
KNa7V8O24
1.0
7.557 0.000 0.000
0.000 7.557 0.000
0.000 0.000 7.557
K Na V O
1 7 8 24
direct
0.000 0.000 0.000
0.000 0.000 0.500
0.000 0.500 0.000
0.000 0.500 0.500
0.500 0.000 0.000
0.500 0.000 0.500
0.500 0.500 0.000
0.500 0.500 0.500
0.251 0.251 0.251
0.251 0.251 0.749
0.251 0.749 0.251
0.251 0.749 0.749
0.749 0.251 0.251
0.749 0.251 0.749
0.749 0.749 0.251
0.749 0.749 0.749
0.000 0.252 0.252
0.000 0.252 0.748
0.000 0.748 0.252
0.000 0.748 0.748
0.250 0.250 0.500
0.250 0.500 0.250
0.250 0.500 0.750
0.250 0.750 0.500
0.252 0.000 0.252
0.252 0.000 0.748
0.252 0.252 0.000
0.252 0.748 0.000
0.500 0.250 0.250
0.500 0.250 0.750
0.500 0.750 0.250
0.500 0.750 0.750
0.748 0.000 0.252
0.748 0.000 0.748
0.748 0.252 0.000
0.748 0.748 0.000
0.750 0.250 0.500
0.750 0.500 0.250
0.750 0.500 0.750
0.750 0.750 0.500
```

Top 8 peaks for 5 to 70 degrees two-theta, by angle:
2θ = 11.7°, rel. 1
2θ = 16.6°, rel. 1
2θ = 23.5°, rel. 63
2θ = 33.5°, rel. 100
2θ = 41.4°, rel. 6
2θ = 48.2°, rel. 70
2θ = 54.3°, rel. 18
2θ = 60.0°, rel. 35

---

Entry 4:
Starting from DFT lattice parameters and positions (PBE+U), the X-ray powder pattern of CaLaMn2O6 was computed for Cu Kα (λ = 1.5418 Å).
Neutral-atom scattering factors, no anomalous dispersion.

Crystal structure
```
CaLaMn2O6
1.0
5.558 0.000 0.000
0.000 7.594 0.000
-0.275 0.000 5.559
Ca La Mn O
2 2 4 12
direct
0.012 0.250 0.462
0.988 0.750 0.538
0.498 0.250 0.969
0.502 0.750 0.031
0.000 0.000 0.000
0.000 0.500 0.000
0.500 0.000 0.500
0.500 0.500 0.500
0.064 0.750 0.977
0.235 0.043 0.710
0.235 0.457 0.710
0.289 0.035 0.215
0.289 0.465 0.215
0.412 0.750 0.492
0.588 0.250 0.508
0.711 0.535 0.785
0.711 0.965 0.785
0.765 0.543 0.290
0.765 0.957 0.290
0.936 0.250 0.023
```

Top 8 peaks for 5 to 70 degrees two-theta, by angle:
2θ = 16.0°, rel. 73
2θ = 28.5°, rel. 34
2θ = 32.2°, rel. 95
2θ = 32.4°, rel. 100
2θ = 33.2°, rel. 92
2θ = 45.0°, rel. 34
2θ = 57.1°, rel. 40
2θ = 58.9°, rel. 39

---

Entry 5:
Starting from DFT lattice parameters and positions (PBE+U), the X-ray powder pattern of Fe3O4F2 was computed for Cu Kα (λ = 1.5418 Å).
Neutral-atom scattering factors, no anomalous dispersion.

Crystal structure
```
Fe3O4F2
1.0
4.625 -3.202 0.000
4.625 3.202 0.000
-3.181 0.000 6.814
Fe O F
6 8 4
direct
0.000 0.000 0.000
0.000 0.000 0.500
0.315 0.315 0.338
0.335 0.335 0.829
0.665 0.665 0.171
0.685 0.685 0.662
0.024 0.633 0.337
0.094 0.094 0.284
0.307 0.693 0.000
0.367 0.976 0.663
0.633 0.024 0.337
0.693 0.307 0.000
0.906 0.906 0.716
0.976 0.367 0.663
0.235 0.235 0.036
0.445 0.445 0.633
0.555 0.555 0.367
0.765 0.765 0.964
```

Top 8 peaks for 5 to 70 degrees two-theta, by angle:
2θ = 25.8°, rel. 100
2θ = 27.9°, rel. 92
2θ = 35.0°, rel. 49
2θ = 35.3°, rel. 50
2θ = 51.6°, rel. 30
2θ = 52.1°, rel. 33
2θ = 54.1°, rel. 26
2θ = 54.2°, rel. 26

---

Entry 6:
Starting from DFT lattice parameters and positions (PBE+U), the X-ray powder pattern of Na6MnS4O16 was computed for Cu Kα (λ = 1.5418 Å).
Neutral-atom scattering factors, no anomalous dispersion.

Crystal structure
```
Na6MnS4O16
1.0
10.011 0.000 0.000
0.000 9.400 0.000
-3.384 0.000 7.711
Na Mn S O
12 2 8 32
direct
0.053 0.151 0.411
0.053 0.349 0.911
0.189 0.015 0.032
0.189 0.485 0.532
0.389 0.637 0.317
0.389 0.863 0.817
0.611 0.137 0.183
0.611 0.363 0.683
0.811 0.515 0.468
0.811 0.985 0.968
0.947 0.651 0.089
0.947 0.849 0.589
0.500 0.000 0.500
0.500 0.500 0.000
0.160 0.648 0.845
0.160 0.852 0.345
0.359 0.194 0.775
0.359 0.306 0.275
0.641 0.694 0.725
0.641 0.806 0.225
0.840 0.148 0.655
0.840 0.352 0.155
0.036 0.604 0.682
0.036 0.896 0.182
0.145 0.585 0.998
0.145 0.915 0.498
0.168 0.694 0.359
0.168 0.806 0.859
0.212 0.245 0.180
0.212 0.255 0.680
0.297 0.596 0.829
0.297 0.904 0.329
0.363 0.104 0.923
0.363 0.396 0.423
0.404 0.104 0.659
0.404 0.396 0.159
0.469 0.188 0.342
0.469 0.312 0.842
0.531 0.688 0.158
0.531 0.812 0.658
0.596 0.604 0.841
0.596 0.896 0.341
0.637 0.604 0.577
0.637 0.896 0.077
0.703 0.096 0.671
0.703 0.404 0.171
0.788 0.745 0.320
0.788 0.755 0.820
0.832 0.194 0.141
0.832 0.306 0.641
0.855 0.085 0.502
0.855 0.415 0.002
0.964 0.104 0.818
0.964 0.396 0.318
```

Top 8 peaks for 5 to 70 degrees two-theta, by angle:
2θ = 21.6°, rel. 81
2θ = 22.2°, rel. 56
2θ = 25.3°, rel. 96
2θ = 28.0°, rel. 100
2θ = 29.1°, rel. 57
2θ = 30.0°, rel. 76
2θ = 30.9°, rel. 45
2θ = 34.0°, rel. 50

---

Entry 7:
Starting from DFT lattice parameters and positions (PBE+U), the X-ray powder pattern of Li3CoCu4O8 was computed for Cu Kα (λ = 1.5418 Å).
Neutral-atom scattering factors, no anomalous dispersion.

Crystal structure
```
Li3CoCu4O8
1.0
5.329 -2.830 0.000
5.329 2.830 0.000
-2.711 0.000 4.838
Li Co Cu O
3 1 4 8
direct
0.000 0.000 0.000
0.000 0.500 0.500
0.500 0.000 0.500
0.500 0.500 0.500
0.000 0.000 0.500
0.000 0.500 0.000
0.500 0.000 0.000
0.500 0.500 0.000
0.206 0.206 0.741
0.243 0.703 0.728
0.295 0.295 0.262
0.297 0.757 0.272
0.703 0.243 0.728
0.705 0.705 0.738
0.757 0.297 0.272
0.794 0.794 0.259
```

Top 8 peaks for 5 to 70 degrees two-theta, by angle:
2θ = 18.3°, rel. 29
2θ = 18.9°, rel. 96
2θ = 36.8°, rel. 28
2θ = 37.2°, rel. 47
2θ = 38.7°, rel. 69
2θ = 45.8°, rel. 100
2θ = 60.7°, rel. 35
2θ = 62.4°, rel. 26

---

Entry 8:
Starting from DFT lattice parameters and positions (PBE+U), the X-ray powder pattern of Na2Ti3CrP6O24 was computed for Cu Kα (λ = 1.5418 Å).
Neutral-atom scattering factors, no anomalous dispersion.

Crystal structure
```
Na2Ti3CrP6O24
1.0
4.259 2.459 7.432
-4.259 2.459 7.432
0.000 -4.918 7.432
Na Ti Cr P O
2 3 1 6 24
direct
0.000 0.000 0.000
0.499 0.499 0.499
0.352 0.352 0.352
0.646 0.646 0.646
0.855 0.855 0.855
0.143 0.143 0.143
0.033 0.461 0.753
0.248 0.963 0.535
0.461 0.753 0.033
0.535 0.248 0.963
0.753 0.033 0.461
0.963 0.535 0.248
0.090 0.262 0.904
0.095 0.906 0.732
0.147 0.510 0.253
0.200 0.462 0.558
0.201 0.990 0.378
0.253 0.147 0.510
0.262 0.904 0.090
0.378 0.201 0.990
0.444 0.799 0.532
0.462 0.558 0.200
0.487 0.747 0.849
0.510 0.253 0.147
0.532 0.444 0.799
0.558 0.200 0.462
0.621 0.800 0.998
0.732 0.095 0.906
0.747 0.849 0.487
0.799 0.532 0.444
0.800 0.998 0.621
0.849 0.487 0.747
0.904 0.090 0.262
0.906 0.732 0.095
0.990 0.378 0.201
0.998 0.621 0.800
```

Top 8 peaks for 5 to 70 degrees two-theta, by angle:
2θ = 14.4°, rel. 17
2θ = 20.0°, rel. 25
2θ = 20.9°, rel. 35
2θ = 24.1°, rel. 100
2θ = 29.0°, rel. 25
2θ = 32.0°, rel. 51
2θ = 36.5°, rel. 16
2θ = 49.3°, rel. 17